The following is a computed PXRD pattern of SnIrOs2. It was derived from a GGA-PBE-relaxed structure, using Cu Kα (λ = 1.5418 Å).

Structure:
Unit cell a=4.5032 b=4.5032 c=4.5032 alpha=60.00 beta=60.00 gamma=60.00
Positions (direct):
Sn 0.0000 0.0000 0.0000
Ir 0.2500 0.2500 0.2500
Os 0.5000 0.5000 0.5000
Os 0.7500 0.7500 0.7500

Peak list (6 most intense, 10 to 90 degrees two-theta, low angle first)
| 2theta | intensity |
| --- | --- |
| 24.2 | 2.2 |
| 28.0 | 1.2 |
| 40.0 | 100.0 |
| 57.9 | 17.3 |
| 72.7 | 35.6 |
| 86.4 | 11.7 |

---

The following is a computed PXRD pattern of NdYAlIr2. It was derived from a GGA-PBE-relaxed structure, using Cu Kα (λ = 1.5418 Å).

Structure:
Unit cell a=5.6521 b=5.6521 c=5.6521 alpha=137.09 beta=117.56 gamma=78.75
Positions (direct):
Nd 0.0000 0.0000 0.0000
Y 0.6030 0.6030 0.0000
Al 0.3020 0.8020 0.5000
Ir 0.0437 0.3016 0.7421
Ir 0.5596 0.3016 0.2579

Peak list (6 most intense, 10 to 90 degrees two-theta, low angle first)
| 2theta | intensity |
| --- | --- |
| 23.8 | 60.1 |
| 36.9 | 72.9 |
| 37.8 | 70.7 |
| 39.1 | 100.0 |
| 58.6 | 38.6 |
| 66.2 | 37.3 |

---

Number 2 is which compound?
NdYAlIr2

---

What is the formula in the second record?
NdYAlIr2